This entry pairs a crystal structure of TiFeO3 with its theoretical PXRD pattern. Radiation: Cu Kα (λ = 1.5418 Å). Structure: the GGA+U geometry in Alexandria.
Peak positions follow from Bragg's law for the DFT cell and can differ from measured ones.

Main lines, low angle first (2θ from 10° to 90°):
23.52°, d 3.783, intensity 34
32.31°, d 2.771, intensity 100
32.59°, d 2.748, intensity 46
34.41°, d 2.606, intensity 35
34.65°, d 2.589, intensity 64
39.64°, d 2.273, intensity 19
48.11°, d 1.891, intensity 59
52.60°, d 1.740, intensity 41
52.99°, d 1.728, intensity 19
60.32°, d 1.534, intensity 15
60.97°, d 1.520, intensity 17
61.80°, d 1.501, intensity 30

Structural model:
a = 5.178 Å, b = 5.178 Å, c = 5.522 Å
α = 117.44°, β = 117.44°, γ = 60.44°
Positions (direct):
Ti: 0.245 0.755 0.500
Ti: 0.755 0.245 0.000
Fe: 0.458 0.964 0.144
Fe: 0.964 0.458 0.644
O: 0.028 0.894 0.815
O: 0.136 0.400 0.327
O: 0.400 0.136 0.827
O: 0.522 0.649 0.315
O: 0.649 0.522 0.815
O: 0.894 0.028 0.315